(1)
This entry pairs a crystal structure of Cu12SbPd6 with its calculated XRD peak list. Radiation: copper Kα. Structure: a DFT-relaxed cell (PBE, Alexandria).
Neutral-atom scattering factors, no anomalous dispersion.

Main lines, most intense first (2θ from 10° to 80°):
2θ 41.89, 2.156 Å, intensity 1000; 2θ 46.65, 1.947 Å, intensity 904; 2θ 44.41, 2.040 Å, intensity 707; 2θ 35.01, 2.563 Å, intensity 625; 2θ 26.67, 3.343 Å, intensity 613; 2θ 50.10, 1.821 Å, intensity 454; 2θ 37.91, 2.373 Å, intensity 426; 2θ 52.28, 1.750 Å, intensity 403; 2θ 48.38, 1.881 Å, intensity 222; 2θ 29.19, 3.060 Å, intensity 209

Structure:
a b c (Å): 7.023 7.023 7.023
angles (deg): 106.97 106.97 106.97
Positions (direct):
Cu1 0.000 0.390 0.610
Cu2 0.000 0.610 0.390
Cu3 0.157 0.157 0.393
Cu4 0.157 0.393 0.157
Cu5 0.390 0.000 0.610
Cu6 0.390 0.610 0.000
Cu7 0.393 0.157 0.157
Cu8 0.607 0.843 0.843
Cu9 0.610 0.000 0.390
Cu10 0.610 0.390 0.000
Cu11 0.843 0.607 0.843
Cu12 0.843 0.843 0.607
Sb1 0.500 0.500 0.500
Pd1 0.194 0.194 0.794
Pd2 0.194 0.794 0.194
Pd3 0.206 0.806 0.806
Pd4 0.794 0.194 0.194
Pd5 0.806 0.206 0.806
Pd6 0.806 0.806 0.206

***

(2)
This entry pairs a crystal structure of Cu23SbPd6 with its calculated XRD peak list. Radiation: copper Kα. Structure: a DFT-relaxed cell (PBE, Alexandria).
Neutral-atom scattering factors, no anomalous dispersion.

Main lines, most intense first (2θ from 10° to 80°):
2θ 43.91, 2.062 Å, intensity 1000; 2θ 40.17, 2.245 Å, intensity 301; 2θ 34.38, 2.608 Å, intensity 148; 2θ 46.72, 1.944 Å, intensity 92; 2θ 78.16, 1.223 Å, intensity 90; 2θ 63.84, 1.458 Å, intensity 87; 2θ 51.36, 1.779 Å, intensity 78; 2θ 72.47, 1.304 Å, intensity 60; 2θ 30.66, 2.916 Å, intensity 58; 2θ 37.78, 2.381 Å, intensity 55

Structure:
a b c (Å): 8.249 8.249 8.249
angles (deg): 60.00 60.00 60.00
Positions (direct):
Cu1 0.000 0.000 0.000
Cu2 0.000 0.000 0.500
Cu3 0.000 0.500 0.000
Cu4 0.000 0.500 0.500
Cu5 0.001 0.666 0.666
Cu6 0.122 0.122 0.122
Cu7 0.122 0.122 0.635
Cu8 0.122 0.635 0.122
Cu9 0.334 0.334 0.334
Cu10 0.334 0.334 0.999
Cu11 0.334 0.999 0.334
Cu12 0.365 0.878 0.878
Cu13 0.500 0.000 0.000
Cu14 0.500 0.000 0.500
Cu15 0.500 0.500 0.000
Cu16 0.635 0.122 0.122
Cu17 0.666 0.001 0.666
Cu18 0.666 0.666 0.001
Cu19 0.666 0.666 0.666
Cu20 0.878 0.365 0.878
Cu21 0.878 0.878 0.365
Cu22 0.878 0.878 0.878
Cu23 0.999 0.334 0.334
Sb1 0.500 0.500 0.500
Pd1 0.272 0.272 0.728
Pd2 0.272 0.728 0.272
Pd3 0.272 0.728 0.728
Pd4 0.728 0.272 0.272
Pd5 0.728 0.272 0.728
Pd6 0.728 0.728 0.272

***

(3)
This entry pairs a crystal structure of CuSn2Sb2Pd7 with its calculated XRD peak list. Radiation: copper Kα. Structure: a DFT-relaxed cell (PBE, Alexandria).
Neutral-atom scattering factors, no anomalous dispersion.

Main lines, most intense first (2θ from 10° to 80°):
2θ 46.28, 1.962 Å, intensity 1000; 2θ 32.85, 2.726 Å, intensity 510; 2θ 44.48, 2.037 Å, intensity 491; 2θ 42.83, 2.111 Å, intensity 463; 2θ 37.07, 2.425 Å, intensity 430; 2θ 34.44, 2.604 Å, intensity 418; 2θ 40.45, 2.230 Å, intensity 417; 2θ 33.20, 2.698 Å, intensity 345; 2θ 35.90, 2.501 Å, intensity 336; 2θ 32.27, 2.774 Å, intensity 314

Structure:
a b c (Å): 3.928 3.928 15.120
angles (deg): 94.74 94.74 89.77
Positions (direct):
Cu1 0.000 0.000 0.000
Sn1 0.420 0.420 0.748
Sn2 0.580 0.580 0.252
Sb1 0.142 0.142 0.395
Sb2 0.858 0.858 0.605
Pd1 0.042 0.542 0.130
Pd2 0.334 0.334 0.567
Pd3 0.458 0.958 0.870
Pd4 0.500 0.500 0.000
Pd5 0.542 0.042 0.130
Pd6 0.666 0.666 0.433
Pd7 0.958 0.458 0.870

***

(4)
This entry pairs a crystal structure of TmCuSbPd with its calculated XRD peak list. Radiation: copper Kα. Structure: a DFT-relaxed cell (PBE, Alexandria).
Neutral-atom scattering factors, no anomalous dispersion.

Main lines, most intense first (2θ from 10° to 80°):
2θ 37.89, 2.375 Å, intensity 1000; 2θ 68.43, 1.371 Å, intensity 342; 2θ 54.66, 1.679 Å, intensity 170; 2θ 26.54, 3.358 Å, intensity 71; 2θ 22.94, 3.878 Å, intensity 41; 2θ 61.77, 1.502 Å, intensity 29; 2θ 44.75, 2.025 Å, intensity 22; 2θ 46.86, 1.939 Å, intensity 21; 2θ 60.04, 1.541 Å, intensity 10; 2θ 73.23, 1.293 Å, intensity 8

Structure:
a b c (Å): 4.749 4.749 4.749
angles (deg): 60.00 60.00 60.00
Positions (direct):
Tm1 0.000 0.000 0.000
Cu1 0.750 0.750 0.750
Sb1 0.500 0.500 0.500
Pd1 0.250 0.250 0.250

***

(5)
This entry pairs a crystal structure of Sc3Cu8Pd with its calculated XRD peak list. Radiation: copper Kα. Structure: a DFT-relaxed cell (PBE, Alexandria).
Neutral-atom scattering factors, no anomalous dispersion.

Main lines, most intense first (2θ from 10° to 80°):
2θ 42.57, 2.124 Å, intensity 1000; 2θ 43.44, 2.083 Å, intensity 910; 2θ 39.20, 2.298 Å, intensity 608; 2θ 72.75, 1.300 Å, intensity 252; 2θ 47.75, 1.905 Å, intensity 242; 2θ 76.58, 1.244 Å, intensity 242; 2θ 44.47, 2.037 Å, intensity 242; 2θ 36.10, 2.488 Å, intensity 234; 2θ 69.36, 1.355 Å, intensity 212; 2θ 66.99, 1.397 Å, intensity 208

Structure:
a b c (Å): 4.977 4.977 8.149
angles (deg): 90.00 90.00 120.00
Positions (direct):
Sc1 0.000 0.000 0.000
Sc2 0.000 0.000 0.395
Sc3 0.333 0.667 0.837
Cu1 0.007 0.503 0.184
Cu2 0.332 0.166 0.683
Cu3 0.497 0.503 0.184
Cu4 0.497 0.993 0.184
Cu5 0.667 0.333 0.433
Cu6 0.667 0.333 0.938
Cu7 0.834 0.166 0.683
Cu8 0.834 0.668 0.683
Pd1 0.333 0.667 0.486

***

(6)
This entry pairs a crystal structure of ScCu4Pd7 with its calculated XRD peak list. Radiation: copper Kα. Structure: a DFT-relaxed cell (PBE, Alexandria).
Neutral-atom scattering factors, no anomalous dispersion.

Main lines, most intense first (2θ from 10° to 80°):
2θ 38.10, 2.362 Å, intensity 1000; 2θ 40.22, 2.242 Å, intensity 744; 2θ 43.12, 2.098 Å, intensity 595; 2θ 42.38, 2.133 Å, intensity 396; 2θ 37.36, 2.407 Å, intensity 307; 2θ 35.16, 2.552 Å, intensity 306; 2θ 42.12, 2.145 Å, intensity 298; 2θ 38.42, 2.343 Å, intensity 276; 2θ 45.82, 1.981 Å, intensity 246; 2θ 40.73, 2.215 Å, intensity 237

Structure:
a b c (Å): 6.500 6.500 7.690
angles (deg): 120.09 120.09 42.61
Positions (direct):
Sc1 0.000 0.000 0.000
Cu1 0.313 0.313 0.641
Cu2 0.461 0.461 0.298
Cu3 0.539 0.539 0.702
Cu4 0.687 0.687 0.359
Pd1 0.070 0.070 0.408
Pd2 0.212 0.212 0.881
Pd3 0.252 0.252 0.278
Pd4 0.500 0.500 0.000
Pd5 0.748 0.748 0.722
Pd6 0.788 0.788 0.119
Pd7 0.930 0.930 0.592